# 1
Diffraction record for Nd2Zn3InCu12. The X-ray powder pattern is calculated, not measured: it uses a PBE-relaxed structure and Cu Ka.

Top 10 peaks for 10 to 80 degrees two-theta, in order of rising 2θ:
Position (°2θ), I/Imax
16.01, 44
25.01, 28
26.71, 52
29.55, 54
32.69, 22
34.29, 30
42.63, 71
42.98, 100
45.61, 28
50.77, 33

Cell and atoms:
a b c (Å): 7.368 7.368 7.368
angles (deg): 69.67 69.67 69.67
Fractional positions:
Nd 0.099 0.099 0.099
Nd 0.901 0.901 0.901
Zn 0.000 0.500 0.500
Zn 0.500 0.000 0.500
Zn 0.500 0.500 0.000
In 0.500 0.500 0.500
Cu 0.124 0.124 0.499
Cu 0.124 0.499 0.124
Cu 0.143 0.651 0.651
Cu 0.349 0.349 0.857
Cu 0.349 0.857 0.349
Cu 0.499 0.124 0.124
Cu 0.501 0.876 0.876
Cu 0.651 0.143 0.651
Cu 0.651 0.651 0.143
Cu 0.857 0.349 0.349
Cu 0.876 0.501 0.876
Cu 0.876 0.876 0.501

# 2
Diffraction record for CeErSc2Bi4. The X-ray powder pattern is calculated, not measured: it uses a PBE-relaxed structure and Cu Ka.

Top 10 peaks for 10 to 80 degrees two-theta, in order of rising 2θ:
Position (°2θ), I/Imax
24.80, 23
28.71, 100
41.00, 39
41.11, 37
50.82, 21
59.46, 13
67.24, 12
67.35, 11
67.44, 11
74.77, 11

Cell and atoms:
a b c (Å): 7.598 4.406 7.620
angles (deg): 90.00 109.51 90.00
Fractional positions:
Ce 0.000 0.000 0.000
Er 0.000 0.500 0.500
Sc 0.500 0.000 0.500
Sc 0.500 0.500 0.000
Bi 0.265 0.000 0.751
Bi 0.268 0.500 0.260
Bi 0.732 0.500 0.740
Bi 0.735 0.000 0.249

# 3
Diffraction record for Zr3Sc2Ni2. The X-ray powder pattern is calculated, not measured: it uses a PBE-relaxed structure and Cu Ka.

Top 10 peaks for 10 to 80 degrees two-theta, in order of rising 2θ:
Position (°2θ), I/Imax
16.84, 70
32.95, 36
34.36, 52
34.71, 49
36.47, 81
37.83, 32
38.97, 51
39.15, 100
39.45, 47
43.04, 42

Cell and atoms:
a b c (Å): 11.038 3.325 8.218
angles (deg): 90.00 112.35 90.00
Fractional positions:
Zr 0.000 0.000 0.000
Zr 0.116 0.000 0.441
Zr 0.384 0.500 0.559
Zr 0.500 0.500 0.000
Zr 0.616 0.500 0.441
Zr 0.884 0.000 0.559
Sc 0.155 0.500 0.806
Sc 0.345 0.000 0.194
Sc 0.655 0.000 0.806
Sc 0.845 0.500 0.194
Ni 0.161 0.500 0.219
Ni 0.339 0.000 0.781
Ni 0.661 0.000 0.219
Ni 0.839 0.500 0.781